MnMoIr3: theoretical X-ray diffraction stick pattern (CuKα), based on DFT lattice parameters and positions (PBE).

Atomic structure:
```
MnMoIr3
1.0
12.153 0.000 0.000
0.000 4.993 0.000
0.000 0.000 4.925
Mn Mo Ir
4 4 12
Direct
0.037 0.250 0.250
0.463 0.750 0.250
0.537 0.250 0.750
0.963 0.750 0.750
0.250 0.000 0.130
0.250 0.500 0.370
0.750 0.000 0.870
0.750 0.500 0.630
0.046 0.750 0.250
0.145 0.007 0.631
0.145 0.493 0.869
0.355 0.507 0.869
0.355 0.993 0.631
0.454 0.250 0.250
0.546 0.750 0.750
0.645 0.007 0.369
0.645 0.493 0.131
0.855 0.507 0.131
0.855 0.993 0.369
0.954 0.250 0.750
```

Peak list (10 most intense, 2θ from 5° to 70°, by angle)
2θ = 25.40°, I 37; 2θ = 26.46°, I 34; 2θ = 39.01°, I 55; 2θ = 39.24°, I 58; 2θ = 41.22°, I 28; 2θ = 41.43°, I 100; 2θ = 41.56°, I 91; 2θ = 46.54°, I 54; 2θ = 52.16°, I 24; 2θ = 68.50°, I 34

=====

Na2MnIr2S6: theoretical X-ray diffraction stick pattern (CuKα), based on DFT lattice parameters and positions (PBE).

Atomic structure:
```
Na2MnIr2S6
1.0
3.093 -5.368 0.000
3.093 5.368 0.000
-2.093 0.000 6.507
Na Mn Ir S
2 1 2 6
Direct
0.166 0.834 0.000
0.834 0.166 0.000
0.000 0.000 0.500
0.333 0.667 0.500
0.667 0.333 0.500
0.063 0.396 0.686
0.268 0.268 0.314
0.396 0.063 0.686
0.604 0.937 0.314
0.732 0.732 0.686
0.937 0.604 0.314
```

Peak list (10 most intense, 2θ from 5° to 70°, by angle)
2θ = 13.61°, I 100; 2θ = 18.86°, I 10; 2θ = 27.41°, I 10; 2θ = 29.20°, I 29; 2θ = 30.25°, I 11; 2θ = 34.30°, I 63; 2θ = 43.73°, I 16; 2θ = 47.37°, I 13; 2θ = 51.10°, I 21; 2θ = 53.09°, I 13

=====

MnNbIr3: theoretical X-ray diffraction stick pattern (CuKα), based on DFT lattice parameters and positions (PBE).

Atomic structure:
```
MnNbIr3
1.0
2.675 1.544 3.963
-2.675 1.544 3.963
0.000 -3.088 3.963
Mn Nb Ir
1 1 3
Direct
0.000 0.000 0.000
0.500 0.500 0.500
0.000 0.000 0.500
0.000 0.500 0.000
0.500 0.000 0.000
```

Peak list (10 most intense, 2θ from 5° to 70°, by angle)
2θ = 20.58°, I 22; 2θ = 22.43°, I 100; 2θ = 39.64°, I 70; 2θ = 40.70°, I 8; 2θ = 41.86°, I 84; 2θ = 45.79°, I 22; 2θ = 49.91°, I 50; 2θ = 52.85°, I 4; 2θ = 55.37°, I 27; 2θ = 68.50°, I 14

=====

Mn3NiIr4: theoretical X-ray diffraction stick pattern (CuKα), based on DFT lattice parameters and positions (PBE).

Atomic structure:
```
Mn3NiIr4
1.0
3.639 0.000 0.000
0.000 3.822 0.000
0.000 0.000 7.648
Mn Ni Ir
3 1 4
Direct
0.000 0.000 0.000
0.000 0.500 0.251
0.000 0.500 0.749
0.000 0.000 0.500
0.500 0.000 0.250
0.500 0.000 0.750
0.500 0.500 0.000
0.500 0.500 0.500
```

Peak list (8 most intense, 2θ from 5° to 70°, by angle)
2θ = 24.46°, I 27; 2θ = 33.14°, I 26; 2θ = 41.62°, I 100; 2θ = 47.57°, I 34; 2θ = 50.14°, I 15; 2θ = 54.20°, I 14; 2θ = 61.43°, I 10; 2θ = 69.55°, I 11

=====

MnNi4Ir2: theoretical X-ray diffraction stick pattern (CuKα), based on DFT lattice parameters and positions (PBE).

Atomic structure:
```
MnNi4Ir2
1.0
-2.121 2.121 5.981
2.121 -2.121 5.981
2.121 2.121 -5.981
Mn Ni Ir
1 4 2
Direct
0.000 0.000 0.000
0.000 0.500 0.500
0.192 0.192 0.000
0.500 0.000 0.500
0.808 0.808 0.000
0.388 0.388 0.000
0.612 0.612 0.000
```

Peak list (10 most intense, 2θ from 5° to 70°, by angle)
2θ = 14.81°, I 20; 2θ = 22.23°, I 44; 2θ = 29.79°, I 64; 2θ = 30.77°, I 10; 2θ = 33.42°, I 6; 2θ = 42.65°, I 100; 2θ = 43.42°, I 65; 2θ = 48.59°, I 12; 2θ = 61.86°, I 19; 2θ = 62.48°, I 43

=====

MnNi2Ir6: theoretical X-ray diffraction stick pattern (CuKα), based on DFT lattice parameters and positions (PBE).

Atomic structure:
```
MnNi2Ir6
1.0
5.413 0.000 0.000
1.387 6.922 0.000
1.385 2.361 6.533
Mn Ni Ir
2 4 12
Direct
0.082 0.169 0.009
0.918 0.831 0.991
0.027 0.719 0.670
0.474 0.279 0.328
0.526 0.721 0.672
0.973 0.281 0.330
0.138 0.613 0.333
0.193 0.057 0.663
0.247 0.500 0.000
0.302 0.944 0.337
0.359 0.387 0.668
0.412 0.837 0.997
0.588 0.163 0.003
0.641 0.613 0.332
0.698 0.056 0.663
0.753 0.500 0.000
0.807 0.943 0.337
0.862 0.387 0.667
```

Peak list (10 most intense, 2θ from 5° to 70°, by angle)
2θ = 22.31°, I 24; 2θ = 26.04°, I 19; 2θ = 41.07°, I 98; 2θ = 41.16°, I 97; 2θ = 41.39°, I 100; 2θ = 41.46°, I 94; 2θ = 47.66°, I 67; 2θ = 47.93°, I 65; 2θ = 48.49°, I 60; 2θ = 69.46°, I 21

=====

MnNi2Ir: theoretical X-ray diffraction stick pattern (CuKα), based on DFT lattice parameters and positions (PBE).

Atomic structure:
```
MnNi2Ir
1.0
0.000 2.919 2.919
2.919 0.000 2.919
2.919 2.919 0.000
Mn Ni Ir
1 2 1
Direct
0.000 0.000 0.000
0.250 0.250 0.250
0.500 0.500 0.500
0.750 0.750 0.750
```

Peak list (6 most intense, 2θ from 5° to 70°, by angle)
2θ = 26.44°, I 28; 2θ = 30.63°, I 17; 2θ = 43.86°, I 100; 2θ = 51.95°, I 14; 2θ = 54.44°, I 5; 2θ = 63.77°, I 16

=====

Mn2Ni15Ir2: theoretical X-ray diffraction stick pattern (CuKα), based on DFT lattice parameters and positions (PBE).

Atomic structure:
```
Mn2Ni15Ir2
1.0
4.067 2.348 4.074
-4.067 2.348 4.074
0.000 -4.697 4.074
Mn Ni Ir
2 15 2
Direct
0.149 0.149 0.149
0.851 0.851 0.851
0.000 0.500 0.500
0.153 0.153 0.664
0.153 0.664 0.153
0.187 0.500 0.813
0.187 0.813 0.500
0.336 0.847 0.847
0.500 0.000 0.500
0.500 0.187 0.813
0.500 0.500 0.000
0.500 0.813 0.187
0.664 0.153 0.153
0.813 0.187 0.500
0.813 0.500 0.187
0.847 0.336 0.847
0.847 0.847 0.336
0.400 0.400 0.400
0.600 0.600 0.600
```

Peak list (10 most intense, 2θ from 5° to 70°, by angle)
2θ = 14.51°, I 64; 2θ = 26.33°, I 11; 2θ = 31.92°, I 18; 2θ = 34.47°, I 14; 2θ = 38.33°, I 44; 2θ = 39.02°, I 36; 2θ = 44.54°, I 100; 2θ = 45.16°, I 39; 2θ = 50.11°, I 85; 2θ = 65.31°, I 10